This entry pairs a crystal structure of MgFe3Co5O16 with its theoretical X-ray powder pattern. Radiation: λ = 1.5418 Å (Cu Kα). Structure: a GGA+U-relaxed structure.
Peak positions follow from Bragg's law for the DFT cell and can differ from measured ones.

Peak list (10 most intense, 10 to 80 degrees two-theta, low angle first)
2θ (°)	I_rel	(hkl)
19.30	26	0 1 -1
20.04	100	0 0 2
20.71	33	1 0 1
35.58	47	0 2 -1
36.01	29	2 0 0
37.12	24	2 -2 1
37.61	37	1 1 2
37.79	26	2 0 1
63.12	45	2 -4 0
65.50	32	4 -2 0

Crystal structure
Lattice parameters (Å, degrees): 5.698 5.906 8.891 93.29 90.25 118.82
Space group P1 (No. 1)
One atom of each set of equivalent atoms:
Mg 0.000 0.000 0.000 x1
Fe 0.006 0.511 0.808 x1
Fe 0.165 0.320 0.340 x1
Fe 0.508 0.508 0.809 x1
Co 0.007 0.000 0.595 x1
Co 0.164 0.817 0.328 x1
Co 0.510 0.012 0.813 x1
Co 0.661 0.818 0.328 x1
Co 0.675 0.345 0.106 x1
O 0.168 0.323 0.706 x1
O 0.174 0.857 0.716 x1
O 0.285 0.111 0.462 x1
O 0.340 0.670 0.435 x1
O 0.361 0.698 0.916 x1
O 0.385 0.188 0.957 x1
O 0.482 0.958 0.228 x1
O 0.506 0.487 0.218 x1
O 0.650 0.316 0.705 x1
O 0.692 0.860 0.714 x1
O 0.811 0.631 0.949 x1
O 0.815 0.197 0.954 x1
O 0.838 0.115 0.463 x1
O 0.859 0.708 0.452 x1
O 0.988 0.487 0.217 x1
O 0.991 0.976 0.220 x1